1.
For Mg2Nb2FeO8, a DFT-relaxed cell (PBE+U, the Materials Project) gives the computed powder diffraction line list in this record (CuKα).
No peak broadening, texture or thermal motion is included.

Peak list (8 most intense, 5 to 70 degrees two-theta, low angle first)
two_theta, Rel. int.
20.16, 59
26.35, 73
26.64, 83
27.43, 70
32.25, 100
32.65, 96
34.29, 83
51.16, 74

Atomic structure:
a = 10.1069 Å, b = 10.1069 Å, c = 5.2123 Å
α = 90.86°, β = 90.86°, γ = 34.81°
Element x y z (fractional)
Mg 0.0880 0.3701 0.2533
Mg 0.3701 0.0880 0.7533
Mg 0.6299 0.9120 0.2467
Mg 0.9120 0.6299 0.7467
Nb 0.2138 0.5534 0.2456
Nb 0.4466 0.7862 0.2544
Nb 0.5534 0.2138 0.7456
Nb 0.7862 0.4466 0.7544
Fe 0.1545 0.8455 0.7500
Fe 0.8455 0.1545 0.2500
O 0.0459 0.3365 0.6135
O 0.0645 0.8163 0.0945
O 0.1837 0.9355 0.4055
O 0.2070 0.4171 0.9595
O 0.3187 0.5384 0.5836
O 0.3365 0.0459 0.1135
O 0.4171 0.2070 0.4595
O 0.4616 0.6813 0.9164
O 0.5384 0.3187 0.0836
O 0.5829 0.7930 0.5405
O 0.6635 0.9541 0.8865
O 0.6813 0.4616 0.4164
O 0.7930 0.5829 0.0405
O 0.8163 0.0645 0.5945
O 0.9355 0.1837 0.9055
O 0.9541 0.6635 0.3865

---

2.
For CoH8Cl2O4, a DFT-relaxed cell (PBE+U, the Materials Project) gives the computed powder diffraction line list in this record (CuKα).
No peak broadening, texture or thermal motion is included.

Peak list (8 most intense, 5 to 70 degrees two-theta, low angle first)
two_theta, Rel. int.
13.96, 48
17.55, 51
17.86, 27
21.04, 45
22.63, 100
26.78, 40
30.56, 33
31.78, 30

Atomic structure:
a = 6.1470 Å, b = 10.7941 Å, c = 12.7422 Å
α = 90.00°, β = 95.12°, γ = 90.00°
Element x y z (fractional)
Co 0.0994 0.1229 0.2511
Co 0.0994 0.3771 0.7511
Co 0.9006 0.6229 0.2489
Co 0.9006 0.8771 0.7489
H 0.0025 0.0076 0.5290
H 0.0025 0.4924 0.0290
H 0.0436 0.1246 0.0506
H 0.0436 0.3754 0.5506
H 0.0458 0.6092 0.7753
H 0.0458 0.8908 0.2753
H 0.1465 0.7365 0.6735
H 0.1465 0.7635 0.1735
H 0.2205 0.0173 0.0789
H 0.2205 0.4827 0.5789
H 0.4059 0.6966 0.9296
H 0.4059 0.8034 0.4296
H 0.4445 0.2461 0.7461
H 0.4445 0.2539 0.2461
H 0.4563 0.2155 0.3666
H 0.4563 0.2845 0.8666
H 0.5437 0.7155 0.1334
H 0.5437 0.7845 0.6334
H 0.5555 0.7461 0.7539
H 0.5555 0.7539 0.2539
H 0.5941 0.1966 0.5704
H 0.5941 0.3034 0.0704
H 0.7795 0.5173 0.4211
H 0.7795 0.9827 0.9211
H 0.8535 0.2365 0.8265
H 0.8535 0.2635 0.3265
H 0.9542 0.1092 0.7247
H 0.9542 0.3908 0.2247
H 0.9564 0.6246 0.4494
H 0.9564 0.8754 0.9494
H 0.9975 0.5076 0.9710
H 0.9975 0.9924 0.4710
Cl 0.2598 0.6742 0.5290
Cl 0.2598 0.8258 0.0290
Cl 0.4701 0.1173 0.6175
Cl 0.4701 0.3827 0.1175
Cl 0.5299 0.6173 0.8825
Cl 0.5299 0.8827 0.3825
Cl 0.7402 0.1742 0.9710
Cl 0.7402 0.3258 0.4710
O 0.0042 0.5191 0.7893
O 0.0042 0.9809 0.2893
O 0.0789 0.7440 0.7409
O 0.0789 0.7560 0.2409
O 0.1730 0.1016 0.0999
O 0.1730 0.3984 0.5999
O 0.4008 0.1891 0.2955
O 0.4008 0.3109 0.7955
O 0.5992 0.6891 0.2045
O 0.5992 0.8109 0.7045
O 0.8270 0.6016 0.4001
O 0.8270 0.8984 0.9001
O 0.9211 0.2440 0.7591
O 0.9211 0.2560 0.2591
O 0.9958 0.0191 0.7107
O 0.9958 0.4809 0.2107

---

3.
For KV3P4O16, a DFT-relaxed cell (PBE+U, the Materials Project) gives the computed powder diffraction line list in this record (CuKα).
No peak broadening, texture or thermal motion is included.

Peak list (8 most intense, 5 to 70 degrees two-theta, low angle first)
two_theta, Rel. int.
9.23, 100
19.75, 56
21.78, 76
22.69, 44
25.94, 86
29.26, 48
32.54, 46
34.72, 47

Atomic structure:
a = 5.2847 Å, b = 12.8791 Å, c = 9.6079 Å
α = 90.00°, β = 93.82°, γ = 90.00°
Element x y z (fractional)
K 0.9999 0.0000 0.9996
K 0.0001 0.5000 0.0004
V 0.1064 0.0982 0.4131
V 0.1106 0.3894 0.4098
V 0.4879 0.7506 0.0949
V 0.5121 0.2506 0.9051
V 0.8894 0.8894 0.5902
V 0.8936 0.5982 0.5869
P 0.3514 0.6370 0.3778
P 0.3509 0.8650 0.3780
P 0.4206 0.8666 0.7895
P 0.4219 0.6362 0.7897
P 0.5781 0.1362 0.2103
P 0.5794 0.3666 0.2105
P 0.6486 0.1370 0.6222
P 0.6491 0.3650 0.6220
O 0.0937 0.2595 0.4050
O 0.1248 0.9303 0.4274
O 0.1299 0.5701 0.4278
O 0.1867 0.9228 0.7264
O 0.1884 0.5801 0.7256
O 0.2049 0.2503 0.8798
O 0.2866 0.7509 0.4331
O 0.3258 0.4123 0.2500
O 0.3271 0.0907 0.2514
O 0.3502 0.8597 0.2192
O 0.3521 0.6411 0.2192
O 0.3966 0.1055 0.5511
O 0.3979 0.3987 0.5526
O 0.4094 0.7515 0.7264
O 0.4113 0.6407 0.9487
O 0.4125 0.8604 0.9486
O 0.5875 0.3604 0.0514
O 0.5887 0.1407 0.0513
O 0.5906 0.2515 0.2736
O 0.6021 0.8987 0.4474
O 0.6034 0.6055 0.4489
O 0.6479 0.1411 0.7808
O 0.6498 0.3597 0.7808
O 0.6729 0.5907 0.7486
O 0.6742 0.9123 0.7500
O 0.7134 0.2509 0.5669
O 0.7951 0.7503 0.1202
O 0.8116 0.0801 0.2744
O 0.8133 0.4228 0.2736
O 0.8701 0.0701 0.5722
O 0.8752 0.4303 0.5726
O 0.9063 0.7595 0.5950

---

4.
For MgMnF4, a DFT-relaxed cell (PBE+U, the Materials Project) gives the computed powder diffraction line list in this record (CuKα).
No peak broadening, texture or thermal motion is included.

Peak list (8 most intense, 5 to 70 degrees two-theta, low angle first)
two_theta, Rel. int.
17.19, 16
29.78, 33
30.04, 100
49.79, 66
50.12, 67
59.10, 15
59.39, 26
59.54, 12

Atomic structure:
a = 5.1670 Å, b = 5.1670 Å, c = 6.3025 Å
α = 114.06°, β = 114.06°, γ = 89.62°
Element x y z (fractional)
Mg 0.0000 0.0000 0.0000
Mg 0.5146 0.5146 0.0195
Mn 0.2625 0.7679 0.5214
Mn 0.7679 0.2625 0.5214
F 0.1438 0.6324 0.7727
F 0.1528 0.1528 0.8178
F 0.3387 0.9446 0.2646
F 0.4737 0.4737 0.3101
F 0.6324 0.1438 0.7727
F 0.6663 0.6663 0.8149
F 0.8526 0.8526 0.3032
F 0.9446 0.3387 0.2646

---

5.
For Li4Ni3Sn3Sb2O16, a DFT-relaxed cell (PBE+U, the Materials Project) gives the computed powder diffraction line list in this record (CuKα).
No peak broadening, texture or thermal motion is included.

Peak list (8 most intense, 5 to 70 degrees two-theta, low angle first)
two_theta, Rel. int.
18.08, 40
18.98, 100
19.08, 39
24.69, 46
32.12, 46
34.55, 50
34.94, 57
43.86, 42

Atomic structure:
a = 6.1195 Å, b = 6.1195 Å, c = 9.8148 Å
α = 90.11°, β = 90.11°, γ = 60.41°
Element x y z (fractional)
Li 0.0000 0.0000 0.0000
Li 0.0067 0.0067 0.4817
Li 0.3209 0.3209 0.3974
Li 0.6574 0.6574 0.9146
Ni 0.1595 0.1595 0.7167
Ni 0.3294 0.8148 0.2145
Ni 0.8148 0.3294 0.2145
Sn 0.1565 0.6490 0.7156
Sn 0.6490 0.1565 0.7156
Sn 0.8173 0.8173 0.2150
Sb 0.3161 0.3161 0.9956
Sb 0.6447 0.6447 0.4804
O 0.0283 0.4706 0.8491
O 0.1558 0.6510 0.0905
O 0.1575 0.1575 0.0957
O 0.3224 0.3224 0.6045
O 0.3225 0.8184 0.5967
O 0.4706 0.0283 0.8491
O 0.4715 0.4715 0.8500
O 0.5028 0.5028 0.3500
O 0.5077 0.9501 0.3567
O 0.6510 0.1558 0.0905
O 0.6553 0.6553 0.1102
O 0.8184 0.3225 0.5967
O 0.8197 0.8197 0.5971
O 0.9501 0.5077 0.3567
O 0.9881 0.9881 0.3001
O 0.9900 0.9900 0.8108

---

6.
For MnSeO4, a DFT-relaxed cell (PBE+U, the Materials Project) gives the computed powder diffraction line list in this record (CuKα).
No peak broadening, texture or thermal motion is included.

Peak list (8 most intense, 5 to 70 degrees two-theta, low angle first)
two_theta, Rel. int.
13.44, 57
19.32, 61
20.35, 49
27.27, 21
30.69, 36
31.37, 100
36.53, 20
54.99, 20

Atomic structure:
a = 5.8255 Å, b = 7.0289 Å, c = 7.0289 Å
α = 139.20°, β = 90.00°, γ = 90.00°
Element x y z (fractional)
Mn 0.2500 0.2291 0.7709
Mn 0.7500 0.7709 0.2291
Se 0.2500 0.8409 0.0540
Se 0.7500 0.0540 0.8409
O 0.0328 0.6098 0.9680
O 0.2500 0.1368 0.4219
O 0.2500 0.3449 0.0952
O 0.4672 0.6098 0.9680
O 0.5328 0.9680 0.6098
O 0.7500 0.0952 0.3449
O 0.7500 0.4219 0.1368
O 0.9672 0.9680 0.6098